Entry 1:
The following is a computed PXRD pattern of NbCo2Ni4. It was derived from a PBE-relaxed structure, using a wavelength of 1.5418 Å.
Intensities are scaled so that the largest is 100.

Largest 10 diffraction maxima, by intensity, 15° ≤ 2θ ≤ 90°:
d_spacing, intensity
2.012, 100
1.961, 94
1.974, 88
2.155, 50
2.256, 25
2.371, 25
1.157, 25
2.424, 17
2.060, 16
2.866, 16

Structure:
```
NbCo2Ni4
1.0
0.000 9.435 2.508
3.609 0.000 2.508
3.609 9.435 0.000
Nb Co Ni
2 4 8
Direct
0.000 0.000 0.000
0.250 0.250 0.250
0.321 0.650 0.624
0.626 0.844 0.929
0.650 0.321 0.406
0.844 0.626 0.600
0.199 0.316 0.996
0.206 0.743 0.482
0.254 0.761 0.051
0.316 0.199 0.489
0.681 0.768 0.507
0.743 0.206 0.569
0.761 0.254 0.934
0.768 0.681 0.044
```


Entry 2:
The following is a computed PXRD pattern of NaCd12Ag6. It was derived from a PBE-relaxed structure, using a wavelength of 1.5418 Å.
Intensities are scaled so that the largest is 100.

Largest 10 diffraction maxima, by intensity, 15° ≤ 2θ ≤ 90°:
d_spacing, intensity
2.439, 100
2.382, 82
2.904, 69
1.994, 49
2.809, 41
2.225, 41
2.160, 40
1.307, 22
4.320, 19
2.403, 19

Structure:
```
NaCd12Ag6
1.0
6.357 3.670 3.131
-6.357 3.670 3.131
0.000 -7.340 3.131
Na Cd Ag
1 12 6
Direct
0.000 0.000 0.000
0.114 0.500 0.886
0.114 0.886 0.500
0.124 0.372 0.372
0.372 0.124 0.372
0.372 0.372 0.124
0.500 0.114 0.886
0.500 0.886 0.114
0.628 0.628 0.876
0.628 0.876 0.628
0.876 0.628 0.628
0.886 0.114 0.500
0.886 0.500 0.114
0.295 0.295 0.699
0.295 0.699 0.295
0.301 0.705 0.705
0.699 0.295 0.295
0.705 0.301 0.705
0.705 0.705 0.301
```